[1]
Computed powder diffraction line list
Compound: TlCoRe
Radiation: Cu Kα
Structure: a structure optimized by DFT (GGA-PBE)

Structure:
```
TlCoRe
1.0
-1.4378 1.4378 5.8369
1.4378 -1.4378 5.8369
1.4378 1.4378 -5.8369
Tl Co Re
1 1 1
direct
0.0000 0.0000 0.0000
0.6796 0.6796 0.0000
0.3023 0.3023 0.0000
```

Main lines, most intense first (15 to 90 degrees two-theta):
two_theta	d/Å	I (rel.)
38.94	2.313	100.0
44.56	2.033	38.1
78.30	1.221	26.3
32.06	2.792	25.1
30.63	2.918	18.1
64.60	1.443	15.5
66.51	1.406	14.8
55.04	1.668	14.5


[2]
Computed powder diffraction line list
Compound: NpNbPd
Radiation: Cu Kα
Structure: a structure optimized by DFT (GGA-PBE)

Structure:
```
NpNbPd
1.0
3.2928 0.0000 0.0000
0.0000 3.2928 0.0000
0.0000 0.0000 9.6973
Np Nb Pd
2 2 2
direct
0.2500 0.2500 0.0589
0.7500 0.7500 0.9411
0.2500 0.2500 0.7312
0.7500 0.7500 0.2688
0.2500 0.2500 0.4154
0.7500 0.7500 0.5846
```

Main lines, most intense first (15 to 90 degrees two-theta):
two_theta	d/Å	I (rel.)
39.05	2.307	100.0
38.67	2.328	59.3
70.24	1.340	35.6
55.84	1.646	20.5
18.30	4.849	16.4
70.99	1.328	10.8
64.19	1.451	9.1
54.94	1.671	8.8


[3]
Computed powder diffraction line list
Compound: Ni7IrRh2
Radiation: Cu Kα
Structure: a structure optimized by DFT (GGA-PBE)

Structure:
```
Ni7IrRh2
1.0
8.2227 -1.2953 0.0000
8.2227 1.2953 0.0000
-2.3372 0.0000 5.7692
Ni Ir Rh
7 1 2
direct
0.0000 0.0000 0.0000
0.2880 0.2880 0.3700
0.5397 0.5397 0.3801
0.5818 0.5818 0.7941
0.6467 0.6467 0.2112
0.7402 0.7402 0.9922
0.8303 0.8303 0.7420
0.1817 0.1817 0.6027
0.3845 0.3845 0.1226
0.9392 0.9392 0.5476
```

Main lines, most intense first (15 to 90 degrees two-theta):
two_theta	d/Å	I (rel.)
44.08	2.054	100.0
46.00	1.973	84.4
44.72	2.026	64.7
39.49	2.282	56.1
49.17	1.853	40.1
15.38	5.762	31.8
89.43	1.096	25.0
31.03	2.882	17.7